Starting from DFT lattice parameters and positions (GGA+U), the X-ray powder pattern of MgBi4W2O12 was simulated for CuKα.

Top 6 peaks for 2θ from 10° to 90°, in order of rising 2θ:
hkl, Position (°2θ), Rel. int.
1 -1 1, 25.5, 464
1 1 -1, 26.3, 681
1 1 2, 27.9, 1000
-1 1 2, 28.9, 735
0 0 3, 30.7, 466
2 0 0, 32.8, 535

Structure:
```
MgBi4W2O12
1.0
5.470 0.000 0.000
0.007 5.854 0.000
0.411 1.674 8.741
Mg Bi W O
1 4 2 12
Direct
0.000 0.000 0.000 Mg
0.029 0.889 0.480 Bi
0.050 0.503 0.203 Bi
0.505 0.402 0.498 Bi
0.508 0.055 0.189 Bi
0.484 0.902 0.791 W
0.981 0.423 0.781 W
0.076 0.329 0.003 O
0.215 0.183 0.742 O
0.227 0.688 0.710 O
0.241 0.221 0.354 O
0.314 0.839 0.989 O
0.339 0.751 0.351 O
0.594 0.007 0.584 O
0.704 0.336 0.289 O
0.734 0.124 0.861 O
0.735 0.642 0.831 O
0.865 0.884 0.220 O
0.898 0.501 0.555 O
```